# 1
For Pr5Y2Ho5, the GGA-PBE geometry in Alexandria gives the computed powder XRD pattern in this record (Cu Kα X-rays).
Peak positions follow from Bragg's law for the DFT cell and can differ from measured ones.

Cell and atoms:
```
data_Pr5Y2Ho5
_cell_length_a 15.3165
_cell_length_b 5.0955
_cell_length_c 11.4614
_cell_angle_alpha 90.00
_cell_angle_beta 116.57
_cell_angle_gamma 90.00
_symmetry_space_group_name_H-M 'C 1 2/m 1'
_symmetry_Int_Tables_number 12
_symmetry_space_group_name_Hall '-C 2y'
loop_
_atom_site_label
_atom_site_type_symbol
_atom_site_fract_x
_atom_site_fract_y
_atom_site_fract_z
Pr1 Pr 0.0000 0.0000 0.0000
Pr2 Pr 0.0853 0.0000 0.7512
Pr3 Pr 0.1656 0.0000 0.4999
Y1 Y 0.0834 0.5000 0.2481
Ho1 Ho 0.0000 0.5000 0.5000
Ho2 Ho 0.1684 0.5000 0.0015
Ho3 Ho 0.2490 0.0000 0.2470
```

Main lines, low angle first (5° ≤ 2θ ≤ 70°):
hkl  2θ (°)  Rel. int.
2 0 -1  11.9  1.4
3 1 1  30.3  100.0
0 0 4  35.0  17.0
0 2 0  35.2  33.6
6 0 -6  50.4  6.0
0 2 4  50.5  18.0
6 2 -2  50.6  11.9
3 1 -7  59.9  7.2
3 1 5  59.9  7.2
9 1 -1  60.1  14.2
3 3 1  60.2  14.2
6 2 -6  63.0  12.3


# 2
For RbTmSiTe4, the GGA-PBE geometry in Alexandria gives the computed powder XRD pattern in this record (Cu Kα X-rays).
Peak positions follow from Bragg's law for the DFT cell and can differ from measured ones.

Cell and atoms:
```
data_RbTmSiTe4
_cell_length_a 7.1172
_cell_length_b 7.6183
_cell_length_c 10.0663
_cell_angle_alpha 90.00
_cell_angle_beta 108.74
_cell_angle_gamma 90.00
_symmetry_space_group_name_H-M 'P 1 21/m 1'
_symmetry_Int_Tables_number 11
_symmetry_space_group_name_Hall '-P 2yb'
loop_
_atom_site_label
_atom_site_type_symbol
_atom_site_fract_x
_atom_site_fract_y
_atom_site_fract_z
Rb1 Rb 0.2303 0.2500 0.0533
Tm1 Tm 0.2285 0.2500 0.5505
Si1 Si 0.2185 0.7500 0.3362
Te1 Te 0.0207 0.5072 0.7030
Te2 Te 0.4186 0.7500 0.1721
Te3 Te 0.4448 0.7500 0.5846
```

Main lines, low angle first (5° ≤ 2θ ≤ 70°):
hkl  2θ (°)  Rel. int.
0 0 1  9.3  100.0
1 0 2  26.1  35.3
1 2 0  26.9  81.5
2 0 -2  27.1  53.2
1 1 2  28.7  64.6
2 1 -2  29.5  38.9
0 2 2  30.0  44.0
1 2 -2  30.3  52.8
3 1 0  41.9  23.7
1 3 2  44.5  24.6
1 0 -5  45.1  28.1
0 4 0  47.8  31.1


# 3
For TbPm2Ho, the GGA-PBE geometry in Alexandria gives the computed powder XRD pattern in this record (Cu Kα X-rays).
Peak positions follow from Bragg's law for the DFT cell and can differ from measured ones.

Cell and atoms:
```
data_TbPm2Ho
_cell_length_a 3.6147
_cell_length_b 3.6147
_cell_length_c 34.9347
_cell_angle_alpha 90.00
_cell_angle_beta 90.00
_cell_angle_gamma 120.00
_symmetry_space_group_name_H-M 'R 3 m'
_symmetry_Int_Tables_number 160
_symmetry_space_group_name_Hall 'R 3 -2"'
loop_
_atom_site_label
_atom_site_type_symbol
_atom_site_fract_x
_atom_site_fract_y
_atom_site_fract_z
Tb1 Tb 0.0000 0.0000 0.0000
Pm1 Pm 0.0000 0.0000 0.4168
Pm2 Pm 0.0000 0.0000 0.5821
Ho1 Ho 0.0000 0.0000 0.8330
```

Main lines, low angle first (5° ≤ 2θ ≤ 70°):
hkl  2θ (°)  Rel. int.
0 1 2  29.0  33.1
1 0 4  30.3  10.4
0 0 12  30.7  50.7
0 1 5  31.3  100.0
1 0 7  33.8  83.8
1 0 10  38.6  14.4
1 1 0  50.5  38.2
0 1 17  53.3  21.8
1 0 19  58.2  18.1
1 1 12  60.3  44.9
2 0 5  60.6  16.7
0 2 7  62.2  14.5


# 4
For CaHf2ZrN4, the GGA-PBE geometry in Alexandria gives the computed powder XRD pattern in this record (Cu Kα X-rays).
Peak positions follow from Bragg's law for the DFT cell and can differ from measured ones.

Cell and atoms:
```
data_CaHf2ZrN4
_cell_length_a 6.5137
_cell_length_b 6.5882
_cell_length_c 9.2427
_cell_angle_alpha 90.00
_cell_angle_beta 90.00
_cell_angle_gamma 90.00
_symmetry_space_group_name_H-M 'I m m a'
_symmetry_Int_Tables_number 74
_symmetry_space_group_name_Hall '-I 2b 2'
loop_
_atom_site_label
_atom_site_type_symbol
_atom_site_fract_x
_atom_site_fract_y
_atom_site_fract_z
Ca1 Ca 0.2500 0.2500 0.2500
Hf1 Hf 0.0000 0.0000 0.0000
Hf2 Hf 0.2500 0.2500 0.7500
Zr1 Zr 0.0000 0.0000 0.5000
N1 N 0.0000 0.0200 0.7534
N2 N 0.2425 0.2500 0.9921
```

Main lines, low angle first (5° ≤ 2θ ≤ 70°):
hkl  2θ (°)  Rel. int.
0 1 1  16.5  35.7
1 0 1  16.7  12.7
0 1 3  32.1  22.6
0 2 2  33.4  65.4
2 0 2  33.7  63.9
2 2 0  38.9  100.0
0 4 0  55.8  11.1
2 2 4  56.2  43.8
4 0 0  56.5  10.8
2 4 2  66.8  18.8
0 2 6  67.1  9.2
4 2 2  67.2  27.5


# 5
For Nd2Al3Os, the GGA-PBE geometry in Alexandria gives the computed powder XRD pattern in this record (Cu Kα X-rays).
Peak positions follow from Bragg's law for the DFT cell and can differ from measured ones.

Cell and atoms:
```
data_Nd2Al3Os
_cell_length_a 5.6178
_cell_length_b 5.6178
_cell_length_c 13.3500
_cell_angle_alpha 90.00
_cell_angle_beta 90.00
_cell_angle_gamma 120.00
_symmetry_space_group_name_H-M 'R -3 m'
_symmetry_Int_Tables_number 166
_symmetry_space_group_name_Hall '-R 3 2"'
loop_
_atom_site_label
_atom_site_type_symbol
_atom_site_fract_x
_atom_site_fract_y
_atom_site_fract_z
Nd1 Nd 0.0000 0.0000 0.1267
Al1 Al 0.0000 0.5000 0.0000
Os1 Os 0.0000 0.0000 0.5000
```

Main lines, low angle first (5° ≤ 2θ ≤ 70°):
hkl  2θ (°)  Rel. int.
0 0 3  20.0  45.5
0 1 2  22.6  23.9
1 1 0  31.9  88.8
1 1 3  37.9  100.0
0 1 5  38.5  44.0
2 0 2  39.4  17.0
3 0 0  56.8  17.4
0 1 8  58.5  15.9
3 0 3  60.8  25.3
1 2 5  61.2  22.7
2 2 0  66.6  16.4
2 0 8  68.1  15.3


# 6
For Sm3Dy5Tm4, the GGA-PBE geometry in Alexandria gives the computed powder XRD pattern in this record (Cu Kα X-rays).
Peak positions follow from Bragg's law for the DFT cell and can differ from measured ones.

Cell and atoms:
```
data_Sm3Dy5Tm4
_cell_length_a 6.1357
_cell_length_b 7.0886
_cell_length_c 8.6704
_cell_angle_alpha 90.05
_cell_angle_beta 90.03
_cell_angle_gamma 90.13
_symmetry_space_group_name_H-M 'P -1'
_symmetry_Int_Tables_number 2
_symmetry_space_group_name_Hall '-P 1'
loop_
_atom_site_label
_atom_site_type_symbol
_atom_site_fract_x
_atom_site_fract_y
_atom_site_fract_z
Sm1 Sm 0.0000 0.0000 0.0000
Sm2 Sm 0.1661 0.7488 0.6659
Dy1 Dy 0.0000 0.5000 0.0000
Dy2 Dy 0.3342 0.0001 0.3338
Dy3 Dy 0.4988 0.2514 0.9998
Tm1 Tm 0.1678 0.2512 0.6659
Tm2 Tm 0.3337 0.5001 0.3338
```

Main lines, low angle first (5° ≤ 2θ ≤ 70°):
hkl  2θ (°)  Rel. int.
2 0 1  30.9  100.0
1 2 2  35.9  50.6
0 4 0  51.6  24.0
3 2 0  51.6  12.0
4 0 -1  61.3  21.4
3 2 3  61.4  21.4
-2 4 2  64.4  3.1
4 0 2  64.5  9.2


# 7
For Mg2ZnCu3, the GGA-PBE geometry in Alexandria gives the computed powder XRD pattern in this record (Cu Kα X-rays).
Peak positions follow from Bragg's law for the DFT cell and can differ from measured ones.

Cell and atoms:
```
data_Mg2ZnCu3
_cell_length_a 5.0955
_cell_length_b 5.0955
_cell_length_c 7.9403
_cell_angle_alpha 90.00
_cell_angle_beta 90.00
_cell_angle_gamma 120.00
_symmetry_space_group_name_H-M 'P 63/m m c'
_symmetry_Int_Tables_number 194
_symmetry_space_group_name_Hall '-P 6c 2c'
loop_
_atom_site_label
_atom_site_type_symbol
_atom_site_fract_x
_atom_site_fract_y
_atom_site_fract_z
Mg1 Mg 0.3333 0.6667 0.0641
Zn1 Zn 0.0000 0.0000 0.0000
Cu1 Cu 0.1716 0.3431 0.7500
```

Main lines, low angle first (5° ≤ 2θ ≤ 70°):
hkl  2θ (°)  Rel. int.
1 0 0  20.1  48.1
0 0 2  22.4  23.9
1 0 1  23.1  28.8
1 0 3  39.7  35.5
1 1 2  42.1  82.2
2 0 1  42.5  100.0
0 0 4  45.7  26.6
2 0 2  47.1  46.8
1 0 4  50.4  15.4
2 0 3  54.1  22.8
2 1 3  66.2  10.9
3 0 2  68.0  18.4


# 8
For LaPr4Sm5, the GGA-PBE geometry in Alexandria gives the computed powder XRD pattern in this record (Cu Kα X-rays).
Peak positions follow from Bragg's law for the DFT cell and can differ from measured ones.

Cell and atoms:
```
data_LaPr4Sm5
_cell_length_a 3.6944
_cell_length_b 3.6944
_cell_length_c 25.8424
_cell_angle_alpha 90.00
_cell_angle_beta 90.00
_cell_angle_gamma 90.00
_symmetry_space_group_name_H-M 'P 4/m m m'
_symmetry_Int_Tables_number 123
_symmetry_space_group_name_Hall '-P 4 2'
loop_
_atom_site_label
_atom_site_type_symbol
_atom_site_fract_x
_atom_site_fract_y
_atom_site_fract_z
La1 La 0.0000 0.0000 0.0000
Pr1 Pr 0.0000 0.0000 0.2005
Pr2 Pr 0.0000 0.0000 0.4002
Sm1 Sm 0.5000 0.5000 0.1008
Sm2 Sm 0.5000 0.5000 0.3004
Sm3 Sm 0.5000 0.5000 0.5000
```

Main lines, low angle first (5° ≤ 2θ ≤ 70°):
hkl  2θ (°)  Rel. int.
1 0 5  29.7  100.0
1 1 0  34.3  34.2
0 0 10  34.7  16.6
2 0 0  49.3  12.3
1 1 10  49.6  24.1
2 1 5  58.7  29.2
1 0 15  59.2  14.2
2 0 10  61.7  12.5


# 9
For NbZn16, the GGA-PBE geometry in Alexandria gives the computed powder XRD pattern in this record (Cu Kα X-rays).
Peak positions follow from Bragg's law for the DFT cell and can differ from measured ones.

Cell and atoms:
```
data_NbZn16
_cell_length_a 7.7232
_cell_length_b 11.4845
_cell_length_c 11.6343
_cell_angle_alpha 90.00
_cell_angle_beta 90.00
_cell_angle_gamma 90.00
_symmetry_space_group_name_H-M 'C m c m'
_symmetry_Int_Tables_number 63
_symmetry_space_group_name_Hall '-C 2c 2'
loop_
_atom_site_label
_atom_site_type_symbol
_atom_site_fract_x
_atom_site_fract_y
_atom_site_fract_z
Nb1 Nb 0.0000 0.0474 0.2500
Zn1 Zn 0.0000 0.0000 0.0000
Zn2 Zn 0.0000 0.1754 0.6412
Zn3 Zn 0.0000 0.2903 0.2500
Zn4 Zn 0.0000 0.3802 0.5329
Zn5 Zn 0.1631 0.3573 0.7500
Zn6 Zn 0.1682 0.1866 0.0690
Zn7 Zn 0.2027 0.4468 0.1341
```

Main lines, low angle first (5° ≤ 2θ ≤ 70°):
hkl  2θ (°)  Rel. int.
3 1 0  35.7  17.8
2 0 4  38.8  25.4
0 4 3  39.0  61.0
2 4 1  39.9  82.5
1 3 4  40.7  72.8
1 5 0  41.0  20.7
1 5 1  41.8  27.5
0 2 5  41.9  100.0
3 3 0  42.3  19.2
3 1 3  42.9  94.6
1 5 2  44.0  18.2
3 3 2  45.2  27.3


# 10
For K2Tm3Te6, the GGA-PBE geometry in Alexandria gives the computed powder XRD pattern in this record (Cu Kα X-rays).
Peak positions follow from Bragg's law for the DFT cell and can differ from measured ones.

Cell and atoms:
```
data_K2Tm3Te6
_cell_length_a 7.4557
_cell_length_b 12.9113
_cell_length_c 8.9784
_cell_angle_alpha 90.00
_cell_angle_beta 106.09
_cell_angle_gamma 90.00
_symmetry_space_group_name_H-M 'C 1 2/m 1'
_symmetry_Int_Tables_number 12
_symmetry_space_group_name_Hall '-C 2y'
loop_
_atom_site_label
_atom_site_type_symbol
_atom_site_fract_x
_atom_site_fract_y
_atom_site_fract_z
K1 K 0.0000 0.1666 0.0000
Tm1 Tm 0.0000 0.0000 0.5000
Tm2 Tm 0.0000 0.3324 0.5000
Te1 Te 0.2328 0.5000 0.7051
Te2 Te 0.2367 0.1655 0.7062
```

Main lines, low angle first (5° ≤ 2θ ≤ 70°):
hkl  2θ (°)  Rel. int.
0 0 1  10.3  74.6
1 3 0  24.1  10.3
1 3 1  27.6  100.0
2 0 -3  34.2  26.5
2 0 2  36.8  36.7
0 6 0  42.0  40.1
3 3 -2  43.3  14.3
2 0 3  45.6  17.4
4 0 0  51.0  18.1
3 3 3  60.8  10.9
4 6 0  68.1  15.0
3 3 4  69.9  11.7


# 11
For Cs4Pr6OsI13, the GGA-PBE geometry in Alexandria gives the computed powder XRD pattern in this record (Cu Kα X-rays).
Peak positions follow from Bragg's law for the DFT cell and can differ from measured ones.

Cell and atoms:
```
data_Cs4Pr6OsI13
_cell_length_a 14.6670
_cell_length_b 14.0918
_cell_length_c 12.6967
_cell_angle_alpha 90.00
_cell_angle_beta 120.61
_cell_angle_gamma 90.00
_symmetry_space_group_name_H-M 'C 1 2/m 1'
_symmetry_Int_Tables_number 12
_symmetry_space_group_name_Hall '-C 2y'
loop_
_atom_site_label
_atom_site_type_symbol
_atom_site_fract_x
_atom_site_fract_y
_atom_site_fract_z
Cs1 Cs 0.0000 0.2196 0.0000
Cs2 Cs 0.1756 0.0000 0.7761
Pr1 Pr 0.0112 0.5000 0.7281
Pr2 Pr 0.1584 0.3587 0.5856
Os1 Os 0.0000 0.5000 0.5000
I1 I 0.0000 0.1772 0.5000
I2 I 0.0000 0.5000 0.0000
I3 I 0.1307 0.0000 0.2779
I4 I 0.1655 0.3330 0.3315
I5 I 0.1918 0.3380 0.8596
```

Main lines, low angle first (5° ≤ 2θ ≤ 70°):
hkl  2θ (°)  Rel. int.
0 0 1  8.1  26.2
1 1 0  9.4  47.5
1 3 -2  23.6  36.2
4 0 -2  24.4  18.2
2 0 2  26.5  24.8
2 0 -4  28.2  46.4
3 3 0  28.5  100.0
3 1 -4  29.2  16.4
0 6 0  38.3  22.8
5 3 -4  39.1  33.7
1 3 4  41.9  37.2
6 0 0  43.0  14.8


# 12
For KCdSCl, the GGA-PBE geometry in Alexandria gives the computed powder XRD pattern in this record (Cu Kα X-rays).
Peak positions follow from Bragg's law for the DFT cell and can differ from measured ones.

Cell and atoms:
```
data_KCdSCl
_cell_length_a 7.2679
_cell_length_b 4.1943
_cell_length_c 8.1011
_cell_angle_alpha 90.00
_cell_angle_beta 107.37
_cell_angle_gamma 90.00
_symmetry_space_group_name_H-M 'C 1 m 1'
_symmetry_Int_Tables_number 8
_symmetry_space_group_name_Hall 'C -2y'
loop_
_atom_site_label
_atom_site_type_symbol
_atom_site_fract_x
_atom_site_fract_y
_atom_site_fract_z
K1 K 0.0000 0.0000 0.0000
Cd1 Cd 0.1481 0.0000 0.4391
S1 S 0.2743 0.5000 0.3176
Cl1 Cl 0.2569 0.0000 0.7704
```

Main lines, low angle first (5° ≤ 2θ ≤ 70°):
hkl  2θ (°)  Rel. int.
0 0 1  11.4  59.1
0 0 2  23.0  31.9
1 1 0  24.8  100.0
1 1 -1  25.7  54.1
2 0 1  31.3  31.5
2 0 -3  36.7  30.1
1 1 -3  39.8  51.2
0 2 0  43.1  49.0
3 1 1  49.4  22.9
4 0 -1  50.4  13.3
3 1 -4  56.6  14.0
4 0 -4  60.1  13.8